Entry 1:
Starting from a PBE-relaxed structure, the XRD peak list of Sm5Mg2Sn5 was computed for λ = 1.5418 Å (Cu Kα).

Atomic structure:
a = 8.576 Å, b = 8.576 Å, c = 10.651 Å
α = 126.51°, β = 126.51°, γ = 32.33°
Element x y z (fractional)
Sm1 0.000 0.000 0.000
Sm2 0.097 0.097 0.419
Sm3 0.190 0.190 0.832
Sm4 0.810 0.810 0.168
Sm5 0.903 0.903 0.581
Mg1 0.353 0.353 0.740
Mg2 0.647 0.647 0.260
Sn1 0.258 0.258 0.325
Sn2 0.433 0.433 0.133
Sn3 0.500 0.500 0.500
Sn4 0.567 0.567 0.867
Sn5 0.742 0.742 0.675

Principal peaks in the range 10° ≤ 2θ ≤ 90°, in order of rising 2θ:
31.41 deg, I = 99.4
31.89 deg, I = 50.4
32.27 deg, I = 29.5
34.05 deg, I = 19.2
34.79 deg, I = 100.0
36.97 deg, I = 20.0
37.68 deg, I = 47.6
50.17 deg, I = 28.6
64.12 deg, I = 19.5
66.61 deg, I = 17.3

Entry 2:
Starting from a PBE-relaxed structure, the XRD peak list of SmMgTlSn was computed for λ = 1.5418 Å (Cu Kα).

Atomic structure:
a = 4.460 Å, b = 4.719 Å, c = 4.925 Å
α = 90.00°, β = 90.00°, γ = 90.00°
Element x y z (fractional)
Sm1 0.000 0.000 0.000
Mg1 0.000 0.500 0.500
Tl1 0.500 0.000 0.500
Sn1 0.500 0.500 0.000

Principal peaks in the range 10° ≤ 2θ ≤ 90°, in order of rising 2θ:
18.80 deg, I = 16.4
26.97 deg, I = 13.9
33.08 deg, I = 100.0
36.49 deg, I = 19.3
38.14 deg, I = 17.1
40.45 deg, I = 14.5
53.81 deg, I = 12.8
63.52 deg, I = 15.6
65.74 deg, I = 14.1
68.91 deg, I = 12.3

Entry 3:
Starting from a PBE-relaxed structure, the XRD peak list of Tb5Sm4Mg was computed for λ = 1.5418 Å (Cu Kα).

Atomic structure:
a = 8.088 Å, b = 8.088 Å, c = 8.088 Å
α = 97.40°, β = 97.40°, γ = 137.93°
Element x y z (fractional)
Tb1 0.000 0.000 0.000
Tb2 0.100 0.100 0.629
Tb3 0.100 0.471 0.000
Tb4 0.471 0.100 0.000
Tb5 0.471 0.471 0.371
Sm1 0.116 0.798 0.318
Sm2 0.480 0.798 0.682
Sm3 0.798 0.116 0.318
Sm4 0.798 0.480 0.682
Mg1 0.521 0.521 0.000

Principal peaks in the range 10° ≤ 2θ ≤ 90°, in order of rising 2θ:
29.44 deg, I = 100.0
30.80 deg, I = 17.0
35.19 deg, I = 10.7
35.68 deg, I = 34.8
47.84 deg, I = 17.2
51.35 deg, I = 10.6
53.94 deg, I = 16.7
59.70 deg, I = 9.5
60.30 deg, I = 19.0
75.63 deg, I = 9.3

Entry 4:
Starting from a PBE-relaxed structure, the XRD peak list of Tb2Sm5Mg was computed for λ = 1.5418 Å (Cu Kα).

Atomic structure:
a = 7.106 Å, b = 7.106 Å, c = 7.106 Å
α = 119.70°, β = 119.70°, γ = 90.52°
Element x y z (fractional)
Tb1 0.000 0.500 0.500
Tb2 0.500 0.000 0.500
Sm1 0.000 0.000 0.000
Sm2 0.000 0.000 0.500
Sm3 0.000 0.500 0.000
Sm4 0.500 0.000 0.000
Sm5 0.500 0.500 0.500
Mg1 0.500 0.500 0.000

Principal peaks in the range 10° ≤ 2θ ≤ 90°, in order of rising 2θ:
15.25 deg, I = 6.8
30.78 deg, I = 100.0
35.57 deg, I = 34.0
35.91 deg, I = 16.6
51.19 deg, I = 12.1
51.44 deg, I = 23.8
60.93 deg, I = 28.6
61.37 deg, I = 14.0
64.10 deg, I = 12.3
83.92 deg, I = 11.7

Entry 5:
Starting from a PBE-relaxed structure, the XRD peak list of Tb3SmMg was computed for λ = 1.5418 Å (Cu Kα).

Atomic structure:
a = 8.656 Å, b = 8.656 Å, c = 8.656 Å
α = 156.89°, β = 142.12°, γ = 44.84°
Element x y z (fractional)
Tb1 0.000 0.000 0.000
Tb2 0.423 0.423 0.000
Tb3 0.811 0.311 0.500
Sm1 0.215 0.715 0.500
Mg1 0.611 0.111 0.500

Principal peaks in the range 10° ≤ 2θ ≤ 90°, in order of rising 2θ:
11.06 deg, I = 26.4
30.75 deg, I = 41.5
31.85 deg, I = 43.1
32.19 deg, I = 78.4
32.33 deg, I = 100.0
44.86 deg, I = 29.5
47.65 deg, I = 19.6
57.02 deg, I = 35.4
58.46 deg, I = 21.3
63.20 deg, I = 22.6

Entry 6:
Starting from a PBE-relaxed structure, the XRD peak list of Tb15Sm2Mg2 was computed for λ = 1.5418 Å (Cu Kα).

Atomic structure:
a = 8.633 Å, b = 8.633 Å, c = 8.633 Å
α = 81.00°, β = 81.00°, γ = 81.00°
Element x y z (fractional)
Tb1 0.000 0.000 0.500
Tb2 0.000 0.296 0.704
Tb3 0.000 0.500 0.000
Tb4 0.000 0.704 0.296
Tb5 0.150 0.638 0.638
Tb6 0.296 0.000 0.704
Tb7 0.296 0.704 0.000
Tb8 0.362 0.362 0.850
Tb9 0.362 0.850 0.362
Tb10 0.500 0.000 0.000
Tb11 0.638 0.150 0.638
Tb12 0.638 0.638 0.150
Tb13 0.704 0.000 0.296
Tb14 0.704 0.296 0.000
Tb15 0.850 0.362 0.362
Sm1 0.325 0.325 0.325
Sm2 0.675 0.675 0.675
Mg1 0.093 0.093 0.093
Mg2 0.907 0.907 0.907

Principal peaks in the range 10° ≤ 2θ ≤ 90°, in order of rising 2θ:
15.81 deg, I = 36.4
27.77 deg, I = 16.0
31.33 deg, I = 36.6
31.78 deg, I = 100.0
31.94 deg, I = 68.8
35.68 deg, I = 64.2
51.45 deg, I = 17.5
56.04 deg, I = 14.7
56.90 deg, I = 28.6
66.39 deg, I = 14.8

- Which formula does entry 4 have?
  Tb2Sm5Mg